PuAg6O8: theoretical X-ray diffraction stick pattern (CuKα), based on a cell relaxed with GGA-PBE.

Peak list (10 most intense, 2θ = 10–80°, by angle)
- d = 5.546 Å, 2θ 15.98, I 58
- d = 2.845 Å, 2θ 31.45, I 46
- d = 2.773 Å, 2θ 32.28, I 100
- d = 2.756 Å, 2θ 32.49, I 17
- d = 2.246 Å, 2θ 40.16, I 47
- d = 1.763 Å, 2θ 51.87, I 41
- d = 1.628 Å, 2θ 56.52, I 22
- d = 1.588 Å, 2θ 58.09, I 15
- d = 1.387 Å, 2θ 67.56, I 18
- d = 1.378 Å, 2θ 68.04, I 25

Atomic structure:
Lattice parameters (Å, degrees): 7.2487 7.2487 7.2487 128.03 128.03 76.57
Sites, in units of the cell vectors:
Pu: 0.0000 0.0000 0.0000
Ag: 0.0000 0.0000 0.5000
Ag: 0.0000 0.5000 0.0000
Ag: 0.0000 0.5000 0.5000
Ag: 0.5000 0.0000 0.0000
Ag: 0.5000 0.0000 0.5000
Ag: 0.5000 0.5000 0.5000
O: 0.1986 0.1986 0.0000
O: 0.2221 0.2221 0.4443
O: 0.2221 0.7779 0.0000
O: 0.2500 0.7500 0.5000
O: 0.7500 0.2500 0.5000
O: 0.7779 0.2221 0.0000
O: 0.7779 0.7779 0.5557
O: 0.8014 0.8014 0.0000